Diffraction record for Dy2Ho6Sc5. The powder diffractogram is computed, not measured: it uses a DFT-relaxed cell (PBE, Alexandria) and CuKα.
Lines closer than 0.1° are merged.

Atomic structure:
Cell: 11.321 19.250 3.465 Å, 90.00 90.00 90.00°
Fractional positions:
1 Dy 0.154 0.215 0.000
2 Dy 0.346 0.715 0.000
3 Dy 0.654 0.285 0.000
4 Dy 0.846 0.785 0.000
5 Ho 0.057 0.920 0.000
6 Ho 0.088 0.634 0.000
7 Ho 0.173 0.376 0.500
8 Ho 0.327 0.876 0.500
9 Ho 0.412 0.134 0.000
10 Ho 0.443 0.420 0.000
11 Ho 0.557 0.580 0.000
12 Ho 0.588 0.866 0.000
13 Ho 0.673 0.124 0.500
14 Ho 0.827 0.624 0.500
15 Ho 0.912 0.366 0.000
16 Ho 0.943 0.080 0.000
17 Sc 0.000 0.500 0.500
18 Sc 0.105 0.777 0.500
19 Sc 0.198 0.052 0.500
20 Sc 0.302 0.552 0.500
21 Sc 0.395 0.277 0.500
22 Sc 0.500 0.000 0.500
23 Sc 0.605 0.723 0.500
24 Sc 0.698 0.448 0.500
25 Sc 0.802 0.948 0.500
26 Sc 0.895 0.223 0.500

Principal peaks in the range 10° ≤ 2θ ≤ 80°, low angle first:
- 2θ = 18.44°, intensity 23, (0 4 0)
- 2θ = 28.49°, intensity 34, (1 2 1)
- 2θ = 31.96°, intensity 45, (4 1 0)
- 2θ = 32.82°, intensity 25, (1 4 1)
- 2θ = 33.24°, intensity 30, (3 5 0)
- 2θ = 33.38°, intensity 100, (2 3 1)
- 2θ = 33.53°, intensity 52, (1 7 0)
- 2θ = 35.65°, intensity 29, (2 4 1)
- 2θ = 52.85°, intensity 23, (0 0 2)
- 2θ = 58.94°, intensity 20, (6 4 1)